[1]
For Tm3Ge4Pd4, a structure optimized by DFT (GGA-PBE) gives the computed powder diffraction line list in this record (Cu Kα (λ = 1.5418 Å)).
Lines closer than 0.1° are merged.

Largest 10 diffraction maxima, most intense first, 10° ≤ 2θ ≤ 90°:
Position (°2θ)	I/Imax	h k l
33.9	100	1 2 1
36.0	85	1 1 4
43.7	38	2 0 0
42.9	33	0 3 3
34.6	30	0 1 5
38.6	23	1 2 3
62.9	21	2 3 3
56.9	21	2 1 5
38.9	16	0 0 6
76.0	15	1 5 4

Cell and atoms:
Cell lengths 4.1449, 7.0961, 13.9040 Å; angles 90.00, 90.00, 90.00 degrees
Space group Immm (No. 71)
Asymmetric unit:
Tm (0.0000, 0.0000, 0.0000) x2
Tm (0.0000, 0.5000, 0.1256) x4
Ge (0.0000, 0.0000, 0.2179) x4
Ge (0.0000, 0.1883, 0.5000) x4
Pd (0.0000, 0.2985, 0.3251) x8

***

[2]
For NiMoP8, a structure optimized by DFT (GGA-PBE) gives the computed powder diffraction line list in this record (Cu Kα (λ = 1.5418 Å)).
Lines closer than 0.1° are merged.

Largest 10 diffraction maxima, most intense first, 10° ≤ 2θ ≤ 90°:
Position (°2θ)	I/Imax	h k l
50.9	100	1 1 4
50.6	81	3 0 0
35.3	79	2 -1 2
28.6	68	1 1 0
34.9	62	1 0 3
34.7	62	2 0 1
26.1	52	1 0 2
19.3	50	1 0 1
54.8	35	3 -1 3
49.1	31	3 -1 2

Cell and atoms:
Cell lengths 6.2515, 6.2515, 8.7728 Å; angles 90.00, 90.00, 120.00 degrees
Space group P-31c (No. 163)
Asymmetric unit:
Ni (0.0000, 0.0000, 0.0000) x2
Mo (0.3333, 0.6667, 0.2500) x2
P (0.0449, 0.3202, 0.6533) x12
P (0.3333, 0.6667, 0.5368) x4

***

[3]
For LaPO4, a structure optimized by DFT (GGA-PBE) gives the computed powder diffraction line list in this record (Cu Kα (λ = 1.5418 Å)).
Lines closer than 0.1° are merged.

Largest 10 diffraction maxima, most intense first, 10° ≤ 2θ ≤ 90°:
Position (°2θ)	I/Imax	h k l
28.3	100	0 2 1
30.8	90	2 1 -2
26.4	60	0 0 2
20.9	43	1 1 0
45.4	35	2 1 -4
47.7	30	2 3 -1
36.2	25	2 1 0
51.6	25	2 3 -3
41.3	24	1 1 2
40.4	24	1 3 -1

Cell and atoms:
Cell lengths 6.5421, 7.1485, 8.3318 Å; angles 90.00, 125.97, 90.00 degrees
Space group P2_1/c (No. 14)
Asymmetric unit:
La (0.1863, 0.1589, 0.2852) x4
P (0.3067, 0.6620, 0.1958) x4
O (0.1168, 0.6706, 0.6189) x4
O (0.1919, 0.5066, 0.2505) x4
O (0.3331, 0.6035, 0.0290) x4
O (0.4204, 0.2129, 0.1288) x4

***

[4]
For LiInTe6Mo6, a structure optimized by DFT (GGA-PBE) gives the computed powder diffraction line list in this record (Cu Kα (λ = 1.5418 Å)).
Lines closer than 0.1° are merged.

Largest 10 diffraction maxima, most intense first, 10° ≤ 2θ ≤ 90°:
Position (°2θ)	I/Imax	h k l
10.2	100	1 0 0
40.9	43	2 2 1
26.2	35	1 1 1
42.3	34	1 3 1
39.1	18	0 0 2
30.8	15	3 0 0
27.1	14	1 2 0
33.5	10	2 1 1
21.8	9	1 0 1
49.8	9	2 3 1

Cell and atoms:
Cell lengths 10.0516, 10.0516, 4.6059 Å; angles 90.00, 90.00, 120.00 degrees
Space group P-6 (No. 174)
Asymmetric unit:
Li (0.0000, 0.0000, 0.0000) x1
In (0.6667, 0.3333, 0.5000) x1
Te (0.0327, 0.3155, 0.0000) x3
Te (0.3703, 0.3622, 0.5000) x3
Mo (0.1703, 0.6454, 0.0000) x3
Mo (0.1898, 0.5043, 0.5000) x3

***

[5]
For Ce3BeCrS7, a structure optimized by DFT (GGA-PBE) gives the computed powder diffraction line list in this record (Cu Kα (λ = 1.5418 Å)).
Lines closer than 0.1° are merged.

Largest 10 diffraction maxima, most intense first, 10° ≤ 2θ ≤ 90°:
Position (°2θ)	I/Imax	h k l
25.7	100	2 0 1
27.4	74	2 1 0
40.9	72	1 3 1
18.4	71	1 0 1
41.6	60	2 1 2
34.9	60	3 0 1
23.5	57	1 1 1
37.2	46	2 0 2
51.1	36	4 1 1
35.7	36	1 1 2

Cell and atoms:
Cell lengths 9.9344, 9.9344, 5.8358 Å; angles 90.00, 90.00, 120.00 degrees
Space group P6_3 (No. 173)
Asymmetric unit:
Ce (0.1358, 0.7536, 0.0000) x6
Be (0.3333, 0.6667, 0.5898) x2
Cr (0.0000, 0.0000, 0.2327) x2
S (0.0804, 0.8516, 0.4811) x6
S (0.1088, 0.5182, 0.7232) x6
S (0.3333, 0.6667, 0.2308) x2